(1)
Starting from a PBE-relaxed structure, the XRD peak list of Pm3Pr3Y2 was simulated for a wavelength of 1.5418 Å.
No peak broadening, texture or thermal motion is included.

The 10 most intense peaks (2θ from 5° to 70°), in order of rising 2θ:
2theta, I_rel, index
27.8, 24, 0 4 1
30.3, 25, 2 0 0
31.8, 100, 1 4 1
41.6, 11, 2 4 1
49.2, 7, 0 8 0
49.3, 13, 0 4 3
54.8, 21, 3 4 1
58.9, 8, 2 8 0
59.0, 15, 2 4 3
59.8, 11, 1 8 2

Atomic structure:
a b c (Å): 5.8958 14.8241 6.3958
angles (deg): 90.00 90.00 90.00
Space group Pmmn (No. 59, origin choice 2)
One atom of each set of equivalent atoms:
Pm (0.2500, 0.1258, 0.1699) x4
Pm (0.2500, 0.7500, 0.6600) x2
Pr (0.2500, 0.0000, 0.6675) x4
Pr (0.2500, 0.2500, 0.6723) x2
Y (0.2500, 0.6255, 0.1613) x4

---

(2)
Starting from a PBE-relaxed structure, the XRD peak list of Rb5AgAs2 was simulated for a wavelength of 1.5418 Å.
No peak broadening, texture or thermal motion is included.

The 10 most intense peaks (2θ from 5° to 70°), in order of rising 2θ:
2theta, I_rel, index
27.7, 40, 1 0 7
29.5, 100, 1 1 0
30.3, 20, 0 1 8
35.8, 13, 1 0 10
40.9, 14, 0 2 7
47.8, 11, 0 1 14
51.3, 14, 2 1 7
52.4, 19, 3 0 0
57.1, 10, 2 0 14
61.3, 12, 2 2 0

Atomic structure:
a b c (Å): 6.0510 6.0510 28.6171
angles (deg): 90.00 90.00 120.00
Space group R-3m (No. 166, hexagonal axes)
One atom of each set of equivalent atoms:
Rb (0.0000, 0.0000, 0.0000) x3
Rb (0.0000, 0.0000, 0.1316) x6
Rb (0.0000, 0.0000, 0.2822) x6
Ag (0.0000, 0.0000, 0.5000) x3
As (0.0000, 0.0000, 0.4104) x6

---

(3)
Starting from a PBE-relaxed structure, the XRD peak list of Pm5DyPb5 was simulated for a wavelength of 1.5418 Å.
No peak broadening, texture or thermal motion is included.

The 10 most intense peaks (2θ from 5° to 70°), in order of rising 2θ:
2theta, I_rel, index
28.0, 100, 0 2 0
29.1, 89, 4 0 -2
29.4, 87, 2 0 2
34.3, 59, 6 0 0
40.8, 73, 4 2 -2
41.1, 72, 2 2 2
44.9, 57, 6 2 0
48.5, 22, 2 0 -4
56.9, 27, 2 2 -4
66.3, 19, 8 2 2

Atomic structure:
a b c (Å): 16.1544 6.3778 7.5121
angles (deg): 90.00 104.07 90.00
Space group C2/m (No. 12)
One atom of each set of equivalent atoms:
Pm (0.0000, 0.0000, 0.0000) x2
Pm (0.1616, 0.5000, 0.3213) x4
Pm (0.1684, 0.5000, 0.8241) x4
Dy (0.0000, 0.0000, 0.5000) x2
Pb (0.0000, 0.5000, 0.5000) x2
Pb (0.1651, 0.0000, 0.8382) x4
Pb (0.1659, 0.0000, 0.3470) x4

---

Repeat the third record exactly.
Starting from a PBE-relaxed structure, the XRD peak list of Pm5DyPb5 was simulated for a wavelength of 1.5418 Å.
No peak broadening, texture or thermal motion is included.

The 10 most intense peaks (2θ from 5° to 70°), in order of rising 2θ:
2theta, I_rel, index
28.0, 100, 0 2 0
29.1, 89, 4 0 -2
29.4, 87, 2 0 2
34.3, 59, 6 0 0
40.8, 73, 4 2 -2
41.1, 72, 2 2 2
44.9, 57, 6 2 0
48.5, 22, 2 0 -4
56.9, 27, 2 2 -4
66.3, 19, 8 2 2

Atomic structure:
a b c (Å): 16.1544 6.3778 7.5121
angles (deg): 90.00 104.07 90.00
Space group C2/m (No. 12)
One atom of each set of equivalent atoms:
Pm (0.0000, 0.0000, 0.0000) x2
Pm (0.1616, 0.5000, 0.3213) x4
Pm (0.1684, 0.5000, 0.8241) x4
Dy (0.0000, 0.0000, 0.5000) x2
Pb (0.0000, 0.5000, 0.5000) x2
Pb (0.1651, 0.0000, 0.8382) x4
Pb (0.1659, 0.0000, 0.3470) x4